Simulated powder diffractogram
Compound: LiCuBO3
Radiation: copper Kα
Structure: the PBE geometry in the Materials Project

Cell and atoms:
```
data_LiCuBO3
_cell_length_a 3.142
_cell_length_b 14.069
_cell_length_c 14.080
_cell_angle_alpha 60.26
_cell_angle_beta 88.59
_cell_angle_gamma 89.67
_symmetry_space_group_name_H-M 'P 1'
_symmetry_Int_Tables_number 1
_symmetry_space_group_name_Hall 'P 1'
loop_
_atom_site_label
_atom_site_type_symbol
_atom_site_fract_x
_atom_site_fract_y
_atom_site_fract_z
Li1 Li 0.000 0.000 0.000
Li2 Li 0.001 0.301 0.647
Li3 Li 0.004 0.676 0.295
Li4 Li 0.014 0.650 0.976
Li5 Li 0.054 0.005 0.637
Li6 Li 0.950 0.990 0.308
Li7 Li 0.982 0.661 0.651
Li8 Li 0.986 0.331 0.323
Li9 Li 0.988 0.353 0.949
Cu1 Cu 0.438 0.099 0.407
Cu2 Cu 0.466 0.434 0.100
Cu3 Cu 0.466 0.435 0.734
Cu4 Cu 0.467 0.132 0.085
Cu5 Cu 0.494 0.767 0.081
Cu6 Cu 0.507 0.759 0.444
Cu7 Cu 0.526 0.453 0.416
Cu8 Cu 0.538 0.085 0.779
Cu9 Cu 0.562 0.797 0.742
B1 B 0.007 0.543 0.529
B2 B 0.030 0.883 0.875
B3 B 0.488 0.885 0.206
B4 B 0.495 0.559 0.857
B5 B 0.496 0.885 0.532
B6 B 0.499 0.219 0.865
B7 B 0.506 0.552 0.198
B8 B 0.512 0.210 0.533
B9 B 0.961 0.229 0.190
O1 O 0.009 0.646 0.516
O2 O 0.015 0.529 0.438
O3 O 0.017 0.793 0.980
O4 O 0.021 0.988 0.862
O5 O 0.051 0.870 0.784
O6 O 0.401 0.218 0.434
O7 O 0.438 0.952 0.422
O8 O 0.440 0.890 0.107
O9 O 0.443 0.459 0.952
O10 O 0.451 0.982 0.211
O11 O 0.459 0.562 0.757
O12 O 0.477 0.234 0.760
O13 O 0.477 0.444 0.279
O14 O 0.497 0.773 0.577
O15 O 0.508 0.308 0.881
O16 O 0.511 0.114 0.954
O17 O 0.512 0.580 0.089
O18 O 0.528 0.634 0.226
O19 O 0.555 0.930 0.599
O20 O 0.560 0.110 0.628
O21 O 0.570 0.305 0.537
O22 O 0.576 0.787 0.298
O23 O 0.586 0.652 0.863
O24 O 0.951 0.140 0.294
O25 O 0.967 0.335 0.175
O26 O 0.968 0.216 0.098
O27 O 0.994 0.452 0.634
```

The 10 most intense peaks (15° ≤ 2θ ≤ 90°), low angle first:
4.068 Å, 2θ = 21.9°, I 100.0
3.141 Å, 2θ = 28.4°, I 39.8
2.518 Å, 2θ = 35.7°, I 11.3
2.505 Å, 2θ = 35.8°, I 11.9
2.496 Å, 2θ = 36.0°, I 10.7
2.478 Å, 2θ = 36.2°, I 12.1
2.460 Å, 2θ = 36.5°, I 22.3
2.354 Å, 2θ = 38.2°, I 10.9
2.345 Å, 2θ = 38.4°, I 20.1
2.036 Å, 2θ = 44.5°, I 14.3